[1]
Diffraction record for Ca3ZnAs3. The powder diffractogram is simulated, not measured: it uses a DFT-relaxed cell (GGA-PBE, Alexandria) and copper Kα.
Intensities are scaled so that the largest is 100.

Atomic structure:
```
data_Ca3ZnAs3
_cell_length_a 18.4280
_cell_length_b 6.2452
_cell_length_c 12.2633
_cell_angle_alpha 90.00
_cell_angle_beta 90.00
_cell_angle_gamma 90.00
_space_group_name_H-M_alt 'C m c e'
_space_group_IT_number 64
_space_group_name_Hall '-C 2ac 2'
loop_
_atom_site_label
_atom_site_type_symbol
_atom_site_fract_x
_atom_site_fract_y
_atom_site_fract_z
_atom_site_occupancy
Ca1 Ca 0.0000 0.1959 0.1447 1
Ca2 Ca 0.1748 0.2052 0.8691 1
Zn1 Zn 0.0853 0.0000 0.5000 1
As1 As 0.0000 0.2257 0.3867 1
As2 As 0.1626 0.2234 0.6229 1
```

Main lines, sorted by position (2θ = 15–90°):
2θ = 16.64°, I = 26, (1 1 1); 2θ = 24.99°, I = 28, (3 1 2); 2θ = 26.51°, I = 10, (1 1 3); 2θ = 28.59°, I = 29, (0 2 0); 2θ = 29.10°, I = 75, (6 0 0); 2θ = 41.25°, I = 100, (6 2 0); 2θ = 41.62°, I = 54, (6 0 4); 2θ = 49.16°, I = 11, (9 1 2); 2θ = 51.28°, I = 21, (6 2 4); 2θ = 75.70°, I = 26, (12 2 4)


[2]
Diffraction record for Pa2GePRh6. The powder diffractogram is simulated, not measured: it uses a DFT-relaxed cell (GGA-PBE, Alexandria) and copper Kα.
Intensities are scaled so that the largest is 100.

Atomic structure:
```
data_Pa2GePRh6
_cell_length_a 5.5340
_cell_length_b 8.4125
_cell_length_c 7.8184
_cell_angle_alpha 90.00
_cell_angle_beta 90.00
_cell_angle_gamma 90.00
_space_group_name_H-M_alt 'P m m n'
_space_group_IT_number 59
loop_
_space_group_symop_operation_xyz
'x,y,z'
'-x,-y,-z'
'-x+1/2,-y+1/2,z'
'x+1/2,y+1/2,-z'
'x+1/2,-y,-z'
'-x+1/2,y,z'
'-x,y+1/2,-z'
'x,-y+1/2,z'
loop_
_atom_site_label
_atom_site_type_symbol
_atom_site_fract_x
_atom_site_fract_y
_atom_site_fract_z
_atom_site_occupancy
Pa1 Pa 0.2500 0.0064 0.2449 1
Ge1 Ge 0.2500 0.2500 0.7843 1
P1 P 0.2500 0.7500 0.7308 1
Rh1 Rh 0.0027 0.2500 0.0409 1
Rh2 Rh 0.0043 0.7500 0.4820 1
Rh3 Rh 0.2500 0.5013 0.6111 1
```

Main lines, sorted by position (2θ = 15–90°):
2θ = 19.65°, I = 24, (1 0 1); 2θ = 29.01°, I = 79, (1 2 1); 2θ = 31.24°, I = 94, (0 2 2); 2θ = 38.17°, I = 32, (1 0 3); 2θ = 38.96°, I = 100, (2 2 0); 2θ = 39.92°, I = 79, (2 0 2); 2θ = 43.01°, I = 56, (0 4 0); 2θ = 44.03°, I = 78, (1 2 3); 2θ = 60.12°, I = 47, (2 4 2); 2θ = 65.90°, I = 37, (3 2 3)


[3]
Diffraction record for In2Hg2Br. The powder diffractogram is simulated, not measured: it uses a DFT-relaxed cell (GGA-PBE, Alexandria) and copper Kα.
Intensities are scaled so that the largest is 100.

Atomic structure:
```
data_In2Hg2Br
_cell_length_a 8.6191
_cell_length_b 8.6191
_cell_length_c 4.0288
_cell_angle_alpha 90.00
_cell_angle_beta 90.00
_cell_angle_gamma 90.00
_space_group_name_H-M_alt 'P 4/m b m'
_space_group_IT_number 127
_space_group_name_Hall '-P 4 2ab'
loop_
_atom_site_label
_atom_site_type_symbol
_atom_site_fract_x
_atom_site_fract_y
_atom_site_fract_z
_atom_site_occupancy
In1 In 0.1796 0.3204 0.0000 1
Hg1 Hg 0.1294 0.6294 0.5000 1
Br1 Br 0.0000 0.0000 0.0000 1
```

Main lines, sorted by position (2θ = 15–90°):
2θ = 26.52°, I = 21, (1 1 1); 2θ = 32.14°, I = 100, (2 1 1); 2θ = 32.86°, I = 35, (3 1 0); 2θ = 37.63°, I = 15, (3 2 0); 2θ = 44.05°, I = 10, (3 2 1); 2θ = 45.00°, I = 12, (0 0 2); 2θ = 47.87°, I = 15, (4 0 1); 2θ = 56.83°, I = 14, (3 1 2); 2θ = 62.43°, I = 13, (5 2 1); 2θ = 67.49°, I = 11, (5 3 1)


[4]
Diffraction record for Dy4HgTe5. The powder diffractogram is simulated, not measured: it uses a DFT-relaxed cell (GGA-PBE, Alexandria) and copper Kα.
Intensities are scaled so that the largest is 100.

Atomic structure:
```
data_Dy4HgTe5
_cell_length_a 20.2459
_cell_length_b 4.3074
_cell_length_c 9.0501
_cell_angle_alpha 90.00
_cell_angle_beta 106.25
_cell_angle_gamma 90.00
_space_group_name_H-M_alt 'C 1 2/m 1'
_space_group_IT_number 12
loop_
_space_group_symop_operation_xyz
'x,y,z'
'-x,-y,-z'
'-x,y,-z'
'x,-y,z'
'x+1/2,y+1/2,z'
'-x+1/2,-y+1/2,-z'
'-x+1/2,y+1/2,-z'
'x+1/2,-y+1/2,z'
loop_
_atom_site_label
_atom_site_type_symbol
_atom_site_fract_x
_atom_site_fract_y
_atom_site_fract_z
_atom_site_occupancy
Dy1 Dy 0.0238 0.0000 0.2478 1
Dy2 Dy 0.1674 0.5000 0.5472 1
Hg1 Hg 0.0000 0.5000 0.5000 1
Te1 Te 0.0000 0.5000 0.0000 1
Te2 Te 0.1226 0.0000 0.7331 1
Te3 Te 0.1785 0.0000 0.3079 1
```

Main lines, sorted by position (2θ = 15–90°):
2θ = 27.53°, I = 36, (6 0 0); 2θ = 28.64°, I = 100, (1 1 -2); 2θ = 30.48°, I = 35, (1 1 2); 2θ = 32.07°, I = 25, (6 0 1); 2θ = 37.48°, I = 29, (7 1 -1); 2θ = 39.29°, I = 33, (7 1 -2); 2θ = 40.98°, I = 18, (5 1 2); 2θ = 41.95°, I = 23, (0 2 0); 2θ = 50.92°, I = 14, (6 2 0); 2θ = 53.76°, I = 12, (6 2 1)


[5]
Diffraction record for Zr7Tl. The powder diffractogram is simulated, not measured: it uses a DFT-relaxed cell (GGA-PBE, Alexandria) and copper Kα.
Intensities are scaled so that the largest is 100.

Atomic structure:
```
data_Zr7Tl
_cell_length_a 9.0354
_cell_length_b 9.0354
_cell_length_c 9.0354
_cell_angle_alpha 90.00
_cell_angle_beta 90.00
_cell_angle_gamma 90.00
_space_group_name_H-M_alt 'F m -3 m'
_space_group_IT_number 225
_space_group_name_Hall '-F 4 2 3'
loop_
_atom_site_label
_atom_site_type_symbol
_atom_site_fract_x
_atom_site_fract_y
_atom_site_fract_z
_atom_site_occupancy
Zr1 Zr 0.0000 0.0000 0.0000 1
Zr2 Zr 0.0000 0.2500 0.2500 1
Tl1 Tl 0.0000 0.0000 0.5000 1
```

Main lines, sorted by position (2θ = 15–90°):
2θ = 17.00°, I = 8, (1 1 1); 2θ = 19.65°, I = 4, (2 0 0); 2θ = 27.93°, I = 4, (2 2 0); 2θ = 32.88°, I = 5, (3 1 1); 2θ = 34.38°, I = 100, (2 2 2); 2θ = 39.91°, I = 49, (4 0 0); 2θ = 57.72°, I = 33, (4 4 0); 2θ = 68.94°, I = 38, (6 2 2); 2θ = 72.47°, I = 11, (4 4 4); 2θ = 86.09°, I = 5, (8 0 0)


[6]
Diffraction record for Dy3Zn2Cu3. The powder diffractogram is simulated, not measured: it uses a DFT-relaxed cell (GGA-PBE, Alexandria) and copper Kα.
Intensities are scaled so that the largest is 100.

Atomic structure:
```
data_Dy3Zn2Cu3
_cell_length_a 7.5681
_cell_length_b 15.1923
_cell_length_c 5.5077
_cell_angle_alpha 90.00
_cell_angle_beta 90.00
_cell_angle_gamma 90.00
_space_group_name_H-M_alt 'P n m a'
_space_group_IT_number 62
loop_
_space_group_symop_operation_xyz
'x,y,z'
'-x,-y,-z'
'-x+1/2,-y,z+1/2'
'x+1/2,y,-z+1/2'
'x+1/2,-y+1/2,-z+1/2'
'-x+1/2,y+1/2,z+1/2'
'-x,y+1/2,-z'
'x,-y+1/2,z'
loop_
_atom_site_label
_atom_site_type_symbol
_atom_site_fract_x
_atom_site_fract_y
_atom_site_fract_z
_atom_site_occupancy
Dy1 Dy 0.0413 0.1047 0.1432 1
Dy2 Dy 0.1783 0.2500 0.6167 1
Zn1 Zn 0.1126 0.6058 0.3621 1
Cu1 Cu 0.1784 0.7500 0.6120 1
Cu2 Cu 0.1812 0.0346 0.5902 1
```

Main lines, sorted by position (2θ = 15–90°):
2θ = 29.23°, I = 39, (2 1 1); 2θ = 30.96°, I = 69, (1 4 1); 2θ = 33.43°, I = 100, (2 4 0); 2θ = 34.66°, I = 40, (1 0 2); 2θ = 35.18°, I = 74, (1 1 2); 2θ = 35.45°, I = 52, (0 6 0); 2θ = 37.31°, I = 90, (2 4 1); 2θ = 39.09°, I = 82, (1 3 2); 2θ = 39.28°, I = 66, (3 0 1); 2θ = 42.26°, I = 41, (1 4 2)